No. 1
Theoretical powder diffraction line list of CsMnVF6 for Cu Kα, 1.54184 Å, from a cell relaxed with PBE+U.

Main lines, low angle first (2θ from 5° to 70°):
2θ (°)  d_spacing  Rel. int.
23.3  3.821  922
27.3  3.268  976
27.4  3.255  904
27.6  3.236  1000
28.6  3.125  251
43.4  2.084  254
43.8  2.068  406
47.6  1.910  867

Structure:
Cell: 7.564 7.645 10.857 Å, 90.00 90.00 90.00°
Space group Imma (No. 74)
Asymmetric unit:
Cs (0.000, 0.250, 0.129)
Mn (0.000, 0.000, 0.500)
V (0.250, 0.250, 0.750)
F (0.000, 0.250, 0.423)
F (0.000, 0.250, 0.808)
F (0.204, 0.065, 0.629)

***

No. 2
Theoretical powder diffraction line list of FeH4S2NO8 for Cu Kα, 1.54184 Å, from a cell relaxed with PBE+U.

Main lines, low angle first (2θ from 5° to 70°):
2θ (°)  d_spacing  Rel. int.
10.6  8.361  770
21.2  4.193  115
25.3  3.520  1000
35.6  2.524  97
36.6  2.456  192
42.7  2.117  86
45.0  2.013  89
59.4  1.557  121

Structure:
Cell: 4.910 8.508 8.824 Å, 99.19 106.08 90.07°
Space group P1 (No. 1)
Asymmetric unit:
Fe (0.000, 0.000, 0.000)
Fe (0.500, 0.500, 0.000)
H (0.094, 0.698, 0.534)
H (0.186, 0.729, 0.371)
H (0.267, 0.871, 0.534)
H (0.440, 0.698, 0.534)
H (0.594, 0.198, 0.534)
H (0.686, 0.229, 0.371)
H (0.767, 0.371, 0.534)
H (0.940, 0.199, 0.534)
S (0.100, 0.367, 0.202)
S (0.399, 0.133, 0.796)
S (0.601, 0.867, 0.203)
S (0.899, 0.633, 0.796)
N (0.247, 0.749, 0.494)
N (0.747, 0.249, 0.494)
O (0.183, 0.205, 0.141)
O (0.187, 0.397, 0.376)
O (0.213, 0.621, 0.853)
O (0.241, 0.490, 0.140)
O (0.254, 0.012, 0.855)
O (0.285, 0.876, 0.141)
O (0.310, 0.103, 0.619)
O (0.319, 0.296, 0.854)
O (0.683, 0.705, 0.141)
O (0.689, 0.896, 0.377)
O (0.713, 0.121, 0.854)
O (0.741, 0.989, 0.140)
O (0.754, 0.511, 0.855)
O (0.785, 0.376, 0.140)
O (0.810, 0.603, 0.619)
O (0.818, 0.796, 0.853)